# 1
For Pm4Er6Tm19, a cell relaxed with GGA-PBE gives the theoretical X-ray diffraction stick pattern in this record (a wavelength of 1.5418 Å).

Crystal structure
Lattice parameters (Å, degrees): 10.701 10.701 10.701 109.47 109.47 109.47
Atoms (fractional coordinates):
1 Pm 0.000 0.000 0.357
2 Pm 0.000 0.357 0.000
3 Pm 0.357 0.000 0.000
4 Pm 0.643 0.643 0.643
5 Er 0.128 0.500 0.628
6 Er 0.372 0.872 0.500
7 Er 0.500 0.372 0.872
8 Er 0.500 0.628 0.128
9 Er 0.628 0.128 0.500
10 Er 0.872 0.500 0.372
11 Tm 0.000 0.000 0.000
12 Tm 0.000 0.264 0.264
13 Tm 0.000 0.736 0.736
14 Tm 0.011 0.211 0.673
15 Tm 0.200 0.989 0.662
16 Tm 0.211 0.673 0.011
17 Tm 0.264 0.000 0.264
18 Tm 0.264 0.264 0.000
19 Tm 0.327 0.539 0.338
20 Tm 0.338 0.327 0.539
21 Tm 0.461 0.789 0.800
22 Tm 0.539 0.338 0.327
23 Tm 0.662 0.200 0.989
24 Tm 0.673 0.011 0.211
25 Tm 0.736 0.000 0.736
26 Tm 0.736 0.736 0.000
27 Tm 0.789 0.800 0.461
28 Tm 0.800 0.461 0.789
29 Tm 0.989 0.662 0.200

Peak list (6 most intense, 2θ from 10° to 90°, most intense first)
2θ = 30.70°, rel. 100; 2θ = 37.10°, rel. 76; 2θ = 28.90°, rel. 64; 2θ = 27.00°, rel. 50; 2θ = 35.59°, rel. 47; 2θ = 60.91°, rel. 30


# 2
For Pm3Er2Tm8, a cell relaxed with GGA-PBE gives the theoretical X-ray diffraction stick pattern in this record (a wavelength of 1.5418 Å).

Crystal structure
Lattice parameters (Å, degrees): 6.098 7.890 9.335 65.09 83.80 82.49
Atoms (fractional coordinates):
1 Pm 0.000 0.000 0.000
2 Pm 0.309 0.386 0.768
3 Pm 0.691 0.614 0.232
4 Er 0.078 0.847 0.692
5 Er 0.922 0.153 0.308
6 Tm 0.153 0.693 0.386
7 Tm 0.230 0.537 0.077
8 Tm 0.384 0.229 0.462
9 Tm 0.461 0.078 0.156
10 Tm 0.539 0.922 0.844
11 Tm 0.616 0.771 0.538
12 Tm 0.770 0.463 0.923
13 Tm 0.847 0.307 0.614

Peak list (6 most intense, 2θ from 10° to 90°, most intense first)
2θ = 31.06°, rel. 100; 2θ = 35.98°, rel. 34; 2θ = 51.81°, rel. 18; 2θ = 51.90°, rel. 18; 2θ = 61.69°, rel. 18; 2θ = 36.09°, rel. 17


# 3
For PmEr12Tm2, a cell relaxed with GGA-PBE gives the theoretical X-ray diffraction stick pattern in this record (a wavelength of 1.5418 Å).

Crystal structure
Lattice parameters (Å, degrees): 3.581 5.606 23.309 90.00 94.37 90.00
Atoms (fractional coordinates):
1 Pm 0.000 0.000 0.000
2 Er 0.096 0.500 0.194
3 Er 0.220 0.500 0.443
4 Er 0.289 0.000 0.576
5 Er 0.339 0.500 0.677
6 Er 0.424 0.000 0.850
7 Er 0.470 0.500 0.932
8 Er 0.530 0.500 0.068
9 Er 0.576 0.000 0.150
10 Er 0.661 0.500 0.323
11 Er 0.711 0.000 0.424
12 Er 0.780 0.500 0.557
13 Er 0.904 0.500 0.806
14 Tm 0.142 0.000 0.285
15 Tm 0.858 0.000 0.715

Peak list (6 most intense, 2θ from 10° to 90°, most intense first)
2θ = 32.59°, rel. 100; 2θ = 31.93°, rel. 47; 2θ = 31.31°, rel. 32; 2θ = 34.42°, rel. 28; 2θ = 57.32°, rel. 20; 2θ = 34.78°, rel. 17